Record 1
Starting from a cell relaxed with GGA-PBE, the PXRD pattern of Er3ZnSe2 was calculated for Cu Kα, 1.54184 Å.

Top 6 peaks for 2θ = 10–90°, in order of rising 2θ:
d = 3.391 Å, rel. 20; d = 2.878 Å, rel. 51; d = 2.868 Å, rel. 100; d = 2.099 Å, rel. 21; d = 2.031 Å, rel. 75; d = 1.696 Å, rel. 21

abc: 3.927 5.756 12.592
angles: 90.00 90.00 90.00
Space group Immm (No. 71)
Asymmetric unit:
Er (0.000, 0.000, 0.000) x2
Er (0.000, 0.000, 0.334) x4
Zn (0.000, 0.500, 0.000) x2
Se (0.000, 0.500, 0.332) x4

---

Record 2
Starting from a cell relaxed with GGA-PBE, the PXRD pattern of Cs5Si3AgO9 was calculated for Cu Kα, 1.54184 Å.

Top 6 peaks for 2θ = 10–90°, in order of rising 2θ:
d = 3.389 Å, rel. 55; d = 3.373 Å, rel. 100; d = 3.300 Å, rel. 47; d = 3.211 Å, rel. 35; d = 3.151 Å, rel. 42; d = 3.119 Å, rel. 50

abc: 9.897 6.602 11.876
angles: 90.00 93.82 90.00
Space group P2_1/m (No. 11)
Asymmetric unit:
Cs (0.037, 0.250, 0.397) x2
Cs (0.162, 0.250, 0.064) x2
Cs (0.222, 0.750, 0.866) x2
Cs (0.277, 0.250, 0.682) x2
Cs (0.454, 0.250, 0.380) x2
Si (0.057, 0.750, 0.208) x2
Si (0.247, 0.750, 0.432) x2
Si (0.370, 0.750, 0.199) x2
Ag (0.500, 0.000, 0.000) x2
O (0.023, 0.043, 0.826) x4
O (0.101, 0.750, 0.348) x2
O (0.209, 0.750, 0.146) x2
O (0.257, 0.543, 0.504) x4
O (0.371, 0.750, 0.339) x2
O (0.446, 0.541, 0.164) x4

---

Record 3
Starting from a cell relaxed with GGA-PBE, the PXRD pattern of CePr2ErPt2 was calculated for Cu Kα, 1.54184 Å.

Top 6 peaks for 2θ = 10–90°, in order of rising 2θ:
d = 3.090 Å, rel. 40; d = 3.080 Å, rel. 39; d = 2.872 Å, rel. 62; d = 2.470 Å, rel. 92; d = 2.419 Å, rel. 100; d = 2.135 Å, rel. 43

abc: 6.857 14.273 6.828
angles: 90.00 90.00 90.00
Space group Ibam (No. 72)
Asymmetric unit:
Ce (0.000, 0.000, 0.250) x4
Pr (0.243, 0.190, 0.000) x8
Er (0.000, 0.500, 0.250) x4
Pt (0.249, 0.390, 0.000) x8

---

Record 4
Starting from a cell relaxed with GGA-PBE, the PXRD pattern of YMgPdO4 was calculated for Cu Kα, 1.54184 Å.

Top 6 peaks for 2θ = 10–90°, in order of rising 2θ:
d = 5.262 Å, rel. 100; d = 5.188 Å, rel. 50; d = 2.768 Å, rel. 62; d = 2.630 Å, rel. 59; d = 2.327 Å, rel. 70; d = 1.578 Å, rel. 54

abc: 6.510 6.658 8.587
angles: 90.00 90.00 90.00
Space group Imma (No. 74)
Asymmetric unit:
Y (0.000, 0.000, 0.000) x4
Mg (0.000, 0.250, 0.394) x4
Pd (0.250, 0.250, 0.750) x4
O (0.000, 0.017, 0.735) x8
O (0.235, 0.250, 0.991) x8

---

Record 5
Starting from a cell relaxed with GGA-PBE, the PXRD pattern of LiCuIF2 was calculated for Cu Kα, 1.54184 Å.

Top 6 peaks for 2θ = 10–90°, in order of rising 2θ:
d = 5.206 Å, rel. 100; d = 3.681 Å, rel. 30; d = 2.603 Å, rel. 28; d = 2.326 Å, rel. 35; d = 1.733 Å, rel. 20; d = 1.645 Å, rel. 23

abc: 5.206 5.206 4.645
angles: 90.00 90.00 90.00
Space group P4/mmm (No. 123)
Asymmetric unit:
Li (0.000, 0.000, 0.000) x1
Cu (0.500, 0.500, 0.000) x1
I (0.500, 0.500, 0.500) x1
F (0.000, 0.500, 0.500) x2

---

Record 6
Starting from a cell relaxed with GGA-PBE, the PXRD pattern of Tb2Ge3Rh was calculated for Cu Kα, 1.54184 Å.

Top 6 peaks for 2θ = 10–90°, in order of rising 2θ:
d = 2.722 Å, rel. 37; d = 2.697 Å, rel. 59; d = 2.587 Å, rel. 100; d = 2.566 Å, rel. 77; d = 2.267 Å, rel. 76; d = 2.185 Å, rel. 63

abc: 10.483 4.370 6.965
angles: 90.00 130.65 90.00
Space group Cm (No. 8)
Asymmetric unit:
Tb (0.000, 0.000, 0.000) x2
Tb (0.108, 0.000, 0.597) x2
Ge (0.228, 0.500, 0.405) x2
Ge (0.373, 0.000, 0.184) x2
Ge (0.429, 0.000, 0.650) x2
Rh (0.229, 0.500, 0.037) x2

---

Please write out number 4 again, unchanged.
Starting from a cell relaxed with GGA-PBE, the PXRD pattern of YMgPdO4 was calculated for Cu Kα, 1.54184 Å.

Top 6 peaks for 2θ = 10–90°, in order of rising 2θ:
d = 5.262 Å, rel. 100; d = 5.188 Å, rel. 50; d = 2.768 Å, rel. 62; d = 2.630 Å, rel. 59; d = 2.327 Å, rel. 70; d = 1.578 Å, rel. 54

abc: 6.510 6.658 8.587
angles: 90.00 90.00 90.00
Space group Imma (No. 74)
Asymmetric unit:
Y (0.000, 0.000, 0.000) x4
Mg (0.000, 0.250, 0.394) x4
Pd (0.250, 0.250, 0.750) x4
O (0.000, 0.017, 0.735) x8
O (0.235, 0.250, 0.991) x8

---

Copy entry 2 word for word.
Starting from a cell relaxed with GGA-PBE, the PXRD pattern of Cs5Si3AgO9 was calculated for Cu Kα, 1.54184 Å.

Top 6 peaks for 2θ = 10–90°, in order of rising 2θ:
d = 3.389 Å, rel. 55; d = 3.373 Å, rel. 100; d = 3.300 Å, rel. 47; d = 3.211 Å, rel. 35; d = 3.151 Å, rel. 42; d = 3.119 Å, rel. 50

abc: 9.897 6.602 11.876
angles: 90.00 93.82 90.00
Space group P2_1/m (No. 11)
Asymmetric unit:
Cs (0.037, 0.250, 0.397) x2
Cs (0.162, 0.250, 0.064) x2
Cs (0.222, 0.750, 0.866) x2
Cs (0.277, 0.250, 0.682) x2
Cs (0.454, 0.250, 0.380) x2
Si (0.057, 0.750, 0.208) x2
Si (0.247, 0.750, 0.432) x2
Si (0.370, 0.750, 0.199) x2
Ag (0.500, 0.000, 0.000) x2
O (0.023, 0.043, 0.826) x4
O (0.101, 0.750, 0.348) x2
O (0.209, 0.750, 0.146) x2
O (0.257, 0.543, 0.504) x4
O (0.371, 0.750, 0.339) x2
O (0.446, 0.541, 0.164) x4